(1)
For FeCuS2, a DFT-relaxed cell (PBE, the Materials Project) gives the theoretical powder XRD pattern in this record (Cu Kα X-rays).

Most intense lines, 10 to 90 degrees two-theta, by angle:
d (Å), 2theta, I (rel.), index
2.962, 30.17, 18, 0 0 6
2.913, 30.69, 100, 1 0 1
2.802, 31.94, 34, 0 1 2
2.459, 36.54, 23, 1 0 4
2.271, 39.68, 24, 0 1 5
1.925, 47.21, 68, 1 0 7
1.775, 51.48, 42, 0 1 8
1.705, 53.77, 58, 1 1 0

Structural model:
```
FeCuS2
1.0
3.4098 0.0000 0.0000
-1.7049 2.9530 0.0000
0.0000 0.0000 17.7707
Fe Cu S
3 3 6
Direct
0.0000 0.0000 0.0000
0.3333 0.6667 0.6667
0.6667 0.3333 0.3333
0.0000 0.0000 0.8533
0.3333 0.6667 0.5200
0.6667 0.3333 0.1867
0.0000 0.0000 0.2611
0.0000 0.0000 0.7300
0.3333 0.6667 0.3967
0.3333 0.6667 0.9278
0.6667 0.3333 0.0633
0.6667 0.3333 0.5944
```

=====

(2)
For NaPrNb4O12, a DFT-relaxed cell (PBE, the Materials Project) gives the theoretical powder XRD pattern in this record (Cu Kα X-rays).

Most intense lines, 10 to 90 degrees two-theta, by angle:
d (Å), 2theta, I (rel.), index
4.616, 19.23, 28, 1 0 1
3.997, 22.24, 45, 1 1 0
2.827, 31.65, 100, 2 0 0
2.411, 37.30, 15, 2 1 1
1.997, 45.41, 28, 2 2 0
1.788, 51.09, 16, 3 1 0
1.632, 56.38, 40, 2 0 4
1.413, 66.12, 24, 4 0 0

Structural model:
```
NaPrNb4O12
1.0
5.6489 0.0000 0.0000
0.0000 5.6489 0.0000
0.0000 0.0000 8.0069
Na Pr Nb O
1 1 4 12
Direct
0.0000 0.0000 0.0000
0.5000 0.5000 0.5000
0.0000 0.5000 0.2473
0.0000 0.5000 0.7527
0.5000 0.0000 0.2473
0.5000 0.0000 0.7527
0.0000 0.5000 0.0000
0.0000 0.5000 0.5000
0.2585 0.2585 0.2623
0.2585 0.2585 0.7377
0.2585 0.7415 0.2623
0.2585 0.7415 0.7377
0.5000 0.0000 0.0000
0.5000 0.0000 0.5000
0.7415 0.2585 0.2623
0.7415 0.2585 0.7377
0.7415 0.7415 0.2623
0.7415 0.7415 0.7377
```

=====

(3)
For NaTmPd6O8, a DFT-relaxed cell (PBE, the Materials Project) gives the theoretical powder XRD pattern in this record (Cu Kα X-rays).

Most intense lines, 10 to 90 degrees two-theta, by angle:
d (Å), 2theta, I (rel.), index
5.815, 15.24, 20, 1 0 0
2.601, 34.49, 100, 2 0 1
2.374, 37.90, 63, 2 1 1
1.679, 54.68, 14, 2 2 2
1.613, 57.11, 24, 3 2 0
1.554, 59.48, 33, 3 1 2
1.454, 64.05, 17, 4 0 0
1.269, 74.82, 20, 4 1 2

Structural model:
```
NaTmPd6O8
1.0
5.8150 0.0000 0.0000
0.0000 5.8150 0.0000
0.0000 0.0000 5.8150
Na Tm Pd O
1 1 6 8
Direct
0.0000 0.0000 0.0000
0.5000 0.5000 0.5000
0.0000 0.2494 0.5000
0.0000 0.7506 0.5000
0.2494 0.5000 0.0000
0.5000 0.0000 0.2494
0.5000 0.0000 0.7506
0.7506 0.5000 0.0000
0.2612 0.2612 0.2612
0.2612 0.2612 0.7388
0.2612 0.7388 0.2612
0.2612 0.7388 0.7388
0.7388 0.2612 0.2612
0.7388 0.2612 0.7388
0.7388 0.7388 0.2612
0.7388 0.7388 0.7388
```